Diffraction record for MgMnVP2H2O10. The X-ray diffraction stick pattern is theoretical, not measured: it uses the GGA+U geometry in Alexandria and copper Kα.

Principal peaks in the range 2θ = 10–90°, sorted by position:
- 2θ 14.68, rel. 552, (0 0 1)
- 2θ 15.51, rel. 1000, (0 1 0)
- 2θ 16.87, rel. 314, (1 0 0)
- 2θ 27.00, rel. 92, (1 1 2)
- 2θ 29.61, rel. 201, (0 0 2)
- 2θ 31.95, rel. 84, (1 2 1)
- 2θ 33.27, rel. 276, (1 2 2)
- 2θ 33.60, rel. 118, (-1 2 1)
- 2θ 34.16, rel. 200, (2 0 0)
- 2θ 44.91, rel. 81, (1 3 2)

Atomic structure:
Lattice parameters (Å, degrees): 5.538 6.406 7.087 63.67 72.47 87.17
Space group P-1 (No. 2)
Symmetry-distinct sites (fractional):
Mg 0.000 0.000 0.000 (multiplicity 1)
Mn 0.000 0.500 0.000 (multiplicity 1)
V 0.000 0.500 0.500 (multiplicity 1)
P 0.474 0.639 0.055 (multiplicity 2)
H 0.112 0.800 0.610 (multiplicity 2)
O 0.040 0.218 0.682 (multiplicity 2)
O 0.105 0.629 0.679 (multiplicity 2)
O 0.244 0.254 0.020 (multiplicity 2)
O 0.298 0.796 0.931 (multiplicity 2)
O 0.362 0.532 0.308 (multiplicity 2)